Record 1
For Na2ScSeO4, a PBE-relaxed structure gives the simulated powder XRD pattern in this record (Cu Kα X-rays).

Structure:
a b c (Å): 5.927 5.927 6.431
angles (deg): 90.00 90.00 90.00
Fractional positions:
Na  0.000  0.000  0.000
Na  0.000  0.500  0.250
Na  0.500  0.000  0.750
Na  0.500  0.500  0.500
Sc  0.000  0.000  0.500
Sc  0.500  0.500  0.000
Se  0.000  0.500  0.750
Se  0.500  0.000  0.250
O  0.166  0.206  0.697
O  0.206  0.834  0.303
O  0.294  0.666  0.803
O  0.334  0.294  0.197
O  0.666  0.706  0.197
O  0.706  0.334  0.803
O  0.794  0.166  0.303
O  0.834  0.794  0.697

Main lines, in order of rising 2θ (2θ from 10° to 80°):
d [Å]  I/Imax
4.358  69
3.216  13
2.963  43
2.551  100
2.451  24
2.095  38
1.619  57
1.593  9
1.482  9
1.413  13
1.325  13
1.276  11

Record 2
For Nd2DyY2Tm2, a PBE-relaxed structure gives the simulated powder XRD pattern in this record (Cu Kα X-rays).

Structure:
a b c (Å): 11.732 3.512 11.810
angles (deg): 90.00 108.80 90.00
Fractional positions:
Nd  0.172  0.000  0.086
Nd  0.328  0.500  0.914
Nd  0.672  0.500  0.086
Nd  0.828  0.000  0.914
Dy  0.000  0.500  0.500
Dy  0.500  0.000  0.500
Y  0.048  0.000  0.770
Y  0.452  0.500  0.230
Y  0.548  0.500  0.770
Y  0.952  0.000  0.230
Tm  0.228  0.500  0.366
Tm  0.272  0.000  0.634
Tm  0.728  0.000  0.366
Tm  0.772  0.500  0.634

Main lines, in order of rising 2θ (2θ from 10° to 80°):
d [Å]  I/Imax
3.125  54
2.924  70
2.900  83
2.757  100
2.716  55
2.541  77
2.361  28
1.774  38
1.700  24
1.522  23
1.505  41
1.502  23

Record 3
For Y5Ho3Sc2, a PBE-relaxed structure gives the simulated powder XRD pattern in this record (Cu Kα X-rays).

Structure:
a b c (Å): 9.237 9.238 9.260
angles (deg): 106.54 106.66 115.28
Fractional positions:
Y  0.022  0.176  0.448
Y  0.130  0.879  0.250
Y  0.227  0.575  0.051
Y  0.378  0.630  0.751
Y  0.475  0.322  0.548
Y  0.525  0.678  0.452
Y  0.622  0.370  0.249
Y  0.773  0.425  0.949
Y  0.870  0.121  0.750
Y  0.978  0.824  0.552
Ho  0.077  0.524  0.349
Ho  0.275  0.928  0.953
Ho  0.324  0.272  0.850
Ho  0.676  0.728  0.150
Ho  0.725  0.072  0.047
Ho  0.923  0.476  0.651
Sc  0.171  0.221  0.147
Sc  0.426  0.976  0.649
Sc  0.574  0.024  0.351
Sc  0.829  0.779  0.853

Main lines, in order of rising 2θ (2θ from 10° to 80°):
d [Å]  I/Imax
7.372  6
4.421  15
2.854  100
2.742  5
2.474  33
2.467  17
1.749  17
1.747  17
1.492  20
1.490  13
1.488  7
1.427  9

Record 4
For MnNbV3, a PBE-relaxed structure gives the simulated powder XRD pattern in this record (Cu Kα X-rays).

Structure:
a b c (Å): 6.215 6.215 4.792
angles (deg): 90.00 90.00 128.58
Fractional positions:
Mn  0.000  0.000  0.000
Mn  0.000  0.000  0.500
Nb  0.400  0.600  0.750
Nb  0.600  0.400  0.250
V  0.089  0.391  0.250
V  0.181  0.819  0.250
V  0.391  0.089  0.750
V  0.609  0.911  0.250
V  0.819  0.181  0.750
V  0.911  0.609  0.750

Main lines, in order of rising 2θ (2θ from 10° to 80°):
d [Å]  I/Imax
2.800  13
2.585  38
2.430  10
2.396  25
2.167  100
2.149  23
2.069  32
1.820  28
1.534  10
1.461  14
1.335  19
1.292  10

Number 2 is which compound? Nd2DyY2Tm2